For Na4MnAl3Si3O16, DFT lattice parameters and positions (GGA+U) gives the computed PXRD pattern in this record (Cu Ka).

Principal peaks in the range 10° ≤ 2θ ≤ 80°, low angle first:
d [Å]  intensity
3.769  100
3.757  50
2.662  25
2.469  7
2.299  12
2.176  10
2.169  12
1.967  11
1.681  7
1.632  10

```
Na4MnAl3Si3O16
1.0
9.197 0.000 0.000
0.000 9.270 0.000
-0.020 0.000 9.199
Na Mn Al Si O
8 2 6 6 32
Cartesian
2.060 0.000 2.062 Na
2.061 5.083 7.113 Na
2.491 0.443 6.680 Na
2.529 4.640 2.527 Na
6.648 4.640 6.671 Na
6.686 0.443 2.518 Na
7.116 5.083 2.086 Na
7.117 0.000 7.137 Na
0.000 7.149 0.000 Mn
4.589 2.510 4.599 Mn
-0.002 2.566 6.894 Al
2.285 7.201 4.613 Al
4.598 0.196 0.000 Al
4.598 4.830 0.000 Al
6.892 7.201 4.585 Al
9.179 2.566 2.305 Al
-0.010 0.255 4.599 Si
-0.010 4.890 4.599 Si
2.306 2.517 0.011 Si
4.582 7.153 2.292 Si
4.596 7.153 6.906 Si
6.871 2.517 9.188 Si
0.080 8.082 1.320 O
0.316 4.010 3.253 O
0.342 1.160 5.913 O
1.302 5.795 4.956 O
1.301 6.216 9.119 O
1.337 8.644 4.278 O
1.395 2.198 1.333 O
1.428 2.885 7.863 O
3.137 1.152 8.884 O
3.218 3.820 0.376 O
3.257 6.834 3.201 O
3.250 7.519 6.046 O
3.270 3.443 4.494 O
4.217 8.455 1.378 O
4.269 5.788 7.757 O
4.483 1.578 5.918 O
4.694 1.578 3.281 O
4.908 5.788 1.442 O
4.960 8.455 7.820 O
5.907 3.443 4.705 O
5.920 6.834 5.997 O
5.927 7.519 3.152 O
5.959 3.820 8.823 O
6.040 1.152 0.315 O
7.749 2.885 1.336 O
7.782 2.198 7.865 O
7.841 8.644 4.921 O
7.876 6.216 0.080 O
7.875 5.795 4.242 O
8.835 1.160 3.286 O
8.861 4.010 5.945 O
9.098 8.082 7.879 O
```